The following is a simulated powder diffraction line list of Nb3H12C4NCl9. It was derived from the PBE geometry in OQMD, using Cu Ka.
Peak positions follow from Bragg's law for the DFT cell and can differ from measured ones.

Cell and atoms:
Cell: 10.932 10.932 8.726 Å, 90.00 90.00 120.00°
Fractional coordinates of all 58 atoms:
Nb: 0.093 0.186 0.143
Nb: 0.093 0.907 0.143
Nb: 0.186 0.093 0.857
Nb: 0.814 0.907 0.143
Nb: 0.907 0.093 0.857
Nb: 0.907 0.814 0.857
H: 0.130 0.483 0.694
H: 0.130 0.647 0.694
H: 0.185 0.592 0.525
H: 0.279 0.557 0.921
H: 0.279 0.721 0.921
H: 0.353 0.483 0.694
H: 0.353 0.870 0.694
H: 0.408 0.592 0.525
H: 0.408 0.815 0.525
H: 0.443 0.721 0.921
H: 0.483 0.130 0.306
H: 0.483 0.353 0.306
H: 0.517 0.647 0.694
H: 0.517 0.870 0.694
H: 0.557 0.279 0.079
H: 0.592 0.185 0.475
H: 0.592 0.408 0.475
H: 0.647 0.130 0.306
H: 0.647 0.517 0.306
H: 0.721 0.279 0.079
H: 0.721 0.443 0.079
H: 0.815 0.408 0.475
H: 0.870 0.353 0.306
H: 0.870 0.517 0.306
C: 0.184 0.592 0.651
C: 0.333 0.667 0.880
C: 0.408 0.592 0.651
C: 0.408 0.816 0.651
C: 0.592 0.184 0.349
C: 0.592 0.408 0.349
C: 0.667 0.333 0.120
C: 0.816 0.408 0.349
N: 0.333 0.667 0.708
N: 0.667 0.333 0.292
Cl: 0.000 0.316 0.000
Cl: 0.000 0.684 0.000
Cl: 0.104 0.209 0.677
Cl: 0.104 0.896 0.677
Cl: 0.201 0.403 0.305
Cl: 0.201 0.799 0.305
Cl: 0.209 0.104 0.323
Cl: 0.316 0.000 0.000
Cl: 0.316 0.316 0.000
Cl: 0.403 0.201 0.695
Cl: 0.597 0.799 0.305
Cl: 0.684 0.000 0.000
Cl: 0.684 0.684 0.000
Cl: 0.791 0.896 0.677
Cl: 0.799 0.201 0.695
Cl: 0.799 0.597 0.695
Cl: 0.896 0.104 0.323
Cl: 0.896 0.791 0.323

Largest 6 diffraction maxima, low angle first, 10 to 90 degrees two-theta:
2θ/deg, I (rel.), h k l
10.14, 65, 0 0 1
13.80, 74, 0 1 1
21.36, 44, 0 2 1
35.10, 100, 0 3 2
40.08, 50, 1 3 2
43.50, 28, 0 4 2